Entry 1:
The following is a calculated powder diffractogram of MnNiTe2N. It was derived from a cell relaxed with PBE, using CuKα.
Neutral-atom scattering factors, no anomalous dispersion.

Structural model:
Cell: 5.1667 5.1667 3.4068 Å, 90.00 90.00 90.00°
Element x y z (fractional)
Mn: 0.0000 0.0000 0.0000
Ni: 0.5000 0.5000 0.5000
Te: 0.0000 0.5000 0.0000
Te: 0.5000 0.0000 0.0000
N: 0.0000 0.0000 0.5000

Top 8 peaks for 2θ = 10–80°, sorted by position:
26.2°, intensity 36, (0 0 1); 31.5°, intensity 21, (1 0 1); 34.7°, intensity 100, (2 0 0); 36.0°, intensity 90, (1 1 1); 44.0°, intensity 36, (2 0 1); 49.9°, intensity 34, (2 2 0); 63.1°, intensity 34, (3 1 1); 65.7°, intensity 29, (2 0 2)

***

Entry 2:
The following is a calculated powder diffractogram of DyScTlZn. It was derived from a cell relaxed with PBE, using CuKα.
Neutral-atom scattering factors, no anomalous dispersion.

Structural model:
Cell: 3.5666 3.5666 7.1996 Å, 90.00 90.00 90.00°
Element x y z (fractional)
Dy: 0.0000 0.0000 0.0000
Sc: 0.0000 0.0000 0.5440
Tl: 0.5000 0.5000 0.2900
Zn: 0.5000 0.5000 0.7502

Top 8 peaks for 2θ = 10–80°, sorted by position:
12.3°, intensity 22, (0 0 1); 27.9°, intensity 40, (1 0 1); 35.4°, intensity 100, (1 0 2); 35.6°, intensity 53, (1 1 0); 51.2°, intensity 19, (2 0 0); 52.6°, intensity 13, (1 1 3); 63.5°, intensity 15, (1 1 4); 63.8°, intensity 36, (2 1 2)